For BaNdMnSnO6, a crystal structure in Alexandria, relaxed with GGA+U gives the computed XRD peak list in this record (Cu Kα).
Neutral-atom scattering factors, no anomalous dispersion.

Peak list (10 most intense, 10 to 90 degrees two-theta, sorted by position)
- 2θ = 18.9°, I 5, hkl 1 1 1
- 2θ = 21.8°, I 3, hkl 2 0 0
- 2θ = 31.1°, I 100, hkl 2 2 0
- 2θ = 36.6°, I 3, hkl 3 1 1
- 2θ = 38.3°, I 8, hkl 2 2 2
- 2θ = 44.5°, I 31, hkl 4 0 0
- 2θ = 55.3°, I 40, hkl 4 2 2
- 2θ = 64.8°, I 19, hkl 4 4 0
- 2θ = 73.6°, I 18, hkl 6 2 0
- 2θ = 82.0°, I 6, hkl 4 4 4

Structural model:
```
data_BaNdMnSnO6
_chemical_formula_sum 'Ba4 Nd4 Mn4 Sn4 O24'
_symmetry_space_group_name_H-M 'F -4 3 m'
_symmetry_Int_Tables_number 216
_symmetry_space_group_name_Hall 'F -4 2 3'
_cell_length_a 8.1386
_cell_length_b 8.1386
_cell_length_c 8.1386
_cell_angle_alpha 90.00
_cell_angle_beta 90.00
_cell_angle_gamma 90.00
loop_
_atom_site_label
_atom_site_fract_x
_atom_site_fract_y
_atom_site_fract_z
Ba1 0.0000 0.0000 0.0000
Nd1 0.0000 0.0000 0.5000
Mn1 0.2500 0.2500 0.2500
Sn1 0.2500 0.2500 0.7500
O1 0.0029 0.2500 0.2500
```